# 1
# PuTi6O12
Computed X-ray powder pattern, λ = 1.5418 Å (Cu Kα). Input: a GGA-PBE-relaxed structure.
Neutral-atom scattering factors, no anomalous dispersion.

Principal peaks in the range 2θ from 15° to 90°, in order of rising 2θ:
hkl 1 0 1, d 5.492, intensity 27; hkl 1 1 0, d 4.951, intensity 31; hkl 0 1 2, d 3.300, intensity 22; hkl 2 1 1, d 2.952, intensity 100; hkl 2 2 0, d 2.475, intensity 17; hkl 1 2 2, d 2.401, intensity 47; hkl 1 3 1, d 2.257, intensity 24; hkl 1 1 3, d 2.148, intensity 20; hkl 2 2 3, d 1.717, intensity 14; hkl 0 5 1, d 1.668, intensity 14; hkl 3 3 0, d 1.650, intensity 23; hkl 5 0 2, d 1.546, intensity 17

Crystal structure
```
data_PuTi6O12
_symmetry_space_group_name_H-M 'R -3 m'
_symmetry_Int_Tables_number 166
_symmetry_space_group_name_Hall '-R 3 2"'
_cell_length_a 9.9015
_cell_length_b 9.9015
_cell_length_c 7.1513
_cell_angle_alpha 90.00
_cell_angle_beta 90.00
_cell_angle_gamma 120.00
loop_
_atom_site_label
_atom_site_type_symbol
_atom_site_fract_x
_atom_site_fract_y
_atom_site_fract_z
_atom_site_occupancy
Pu1 Pu 0.0000 0.0000 0.0000 1
Ti1 Ti 0.0789 0.5395 0.2995 1
O1 O 0.0000 0.3770 0.5000 1
O2 O 0.0880 0.1761 0.3542 1
```

# 2
# Ac4RuI5
Computed X-ray powder pattern, λ = 1.5418 Å (Cu Kα). Input: a GGA-PBE-relaxed structure.
Neutral-atom scattering factors, no anomalous dispersion.

Principal peaks in the range 2θ from 15° to 90°, in order of rising 2θ:
hkl 3 1 -1, d 3.628, intensity 10; hkl 6 0 0, d 3.353, intensity 45; hkl 3 1 1, d 3.307, intensity 14; hkl 1 1 -2, d 3.295, intensity 100; hkl 5 1 0, d 2.986, intensity 13; hkl 2 0 -4, d 2.446, intensity 17; hkl 7 1 -2, d 2.358, intensity 30; hkl 5 1 2, d 2.342, intensity 32; hkl 0 2 0, d 2.228, intensity 20; hkl 6 2 0, d 1.856, intensity 17; hkl 1 1 5, d 1.706, intensity 11; hkl 2 2 -4, d 1.647, intensity 12

Crystal structure
```
data_Ac4RuI5
_symmetry_space_group_name_H-M 'C 1 2/m 1'
_symmetry_Int_Tables_number 12
_symmetry_space_group_name_Hall '-C 2y'
_cell_length_a 20.752
_cell_length_b 4.457
_cell_length_c 9.786
_cell_angle_alpha 90.00
_cell_angle_beta 104.21
_cell_angle_gamma 90.00
loop_
_atom_site_label
_atom_site_type_symbol
_atom_site_fract_x
_atom_site_fract_y
_atom_site_fract_z
_atom_site_occupancy
Ac1 Ac 0.001 0.000 0.292 1
Ac2 Ac 0.143 0.500 0.581 1
Ru1 Ru 0.000 0.500 0.500 1
I1 I 0.000 0.500 0.000 1
I2 I 0.169 0.000 0.851 1
I3 I 0.176 0.000 0.336 1
```

# 3
# Tb4NdHoEr2
Computed X-ray powder pattern, λ = 1.5418 Å (Cu Kα). Input: a GGA-PBE-relaxed structure.
Neutral-atom scattering factors, no anomalous dispersion.

Principal peaks in the range 2θ from 15° to 90°, in order of rising 2θ:
hkl 2 0 2, d 2.903, intensity 100; hkl 2 2 0, d 2.518, intensity 34; hkl 0 0 4, d 2.508, intensity 17; hkl 4 0 0, d 1.780, intensity 12; hkl 2 2 4, d 1.777, intensity 24; hkl 4 2 2, d 1.518, intensity 29; hkl 2 0 6, d 1.513, intensity 14; hkl 4 0 4, d 1.452, intensity 12; hkl 6 0 2, d 1.154, intensity 9; hkl 4 2 6, d 1.153, intensity 6; hkl 6 2 0, d 1.126, intensity 6; hkl 4 4 4, d 1.125, intensity 6

Crystal structure
```
data_Tb4NdHoEr2
_symmetry_space_group_name_H-M 'P m m m'
_symmetry_Int_Tables_number 47
_symmetry_space_group_name_Hall '-P 2 2'
_cell_length_a 7.117
_cell_length_b 7.125
_cell_length_c 10.032
_cell_angle_alpha 90.00
_cell_angle_beta 90.00
_cell_angle_gamma 90.00
loop_
_atom_site_label
_atom_site_type_symbol
_atom_site_fract_x
_atom_site_fract_y
_atom_site_fract_z
_atom_site_occupancy
Tb1 Tb 0.250 0.248 0.250 1
Nd1 Nd 0.000 0.500 0.000 1
Nd2 Nd 0.500 0.500 0.500 1
Ho1 Ho 0.000 0.000 0.500 1
Ho2 Ho 0.000 0.500 0.500 1
Er1 Er 0.000 0.000 0.000 1
Er2 Er 0.500 0.000 0.000 1
Er3 Er 0.500 0.000 0.500 1
Er4 Er 0.500 0.500 0.000 1
```

# 4
# Ce3Tl4Se8
Computed X-ray powder pattern, λ = 1.5418 Å (Cu Kα). Input: a GGA-PBE-relaxed structure.
Neutral-atom scattering factors, no anomalous dispersion.

Principal peaks in the range 2θ from 15° to 90°, in order of rising 2θ:
hkl 1 1 0, d 4.343, intensity 85; hkl 1 1 3, d 3.822, intensity 61; hkl 0 2 1, d 3.716, intensity 47; hkl 0 2 4, d 3.192, intensity 90; hkl 1 1 6, d 2.952, intensity 32; hkl 0 2 7, d 2.542, intensity 77; hkl 0 3 3, d 2.394, intensity 21; hkl 2 0 8, d 2.354, intensity 86; hkl 2 2 0, d 2.171, intensity 100; hkl 0 4 8, d 1.596, intensity 25; hkl 1 2 14, d 1.475, intensity 22; hkl 4 2 8, d 1.286, intensity 24

Crystal structure
```
data_Ce3Tl4Se8
_symmetry_space_group_name_H-M 'R -3 m'
_symmetry_Int_Tables_number 166
_symmetry_space_group_name_Hall '-R 3 2"'
_cell_length_a 8.6852
_cell_length_b 8.6852
_cell_length_c 24.1474
_cell_angle_alpha 90.00
_cell_angle_beta 90.00
_cell_angle_gamma 120.00
loop_
_atom_site_label
_atom_site_type_symbol
_atom_site_fract_x
_atom_site_fract_y
_atom_site_fract_z
_atom_site_occupancy
Ce1 Ce 0.0000 0.5000 0.0000 1
Tl1 Tl 0.0000 0.0000 0.0000 1
Tl2 Tl 0.0000 0.0000 0.1392 1
Tl3 Tl 0.0000 0.0000 0.5000 1
Se1 Se 0.0000 0.0000 0.2723 1
Se2 Se 0.0309 0.5155 0.2672 1
```

# 5
# BePd4
Computed X-ray powder pattern, λ = 1.5418 Å (Cu Kα). Input: a GGA-PBE-relaxed structure.
Neutral-atom scattering factors, no anomalous dispersion.

Principal peaks in the range 2θ from 15° to 90°, in order of rising 2θ:
hkl 1 1 1, d 3.573, intensity 8; hkl 2 0 0, d 2.718, intensity 8; hkl 0 0 2, d 2.704, intensity 33; hkl 0 4 0, d 2.464, intensity 47; hkl 1 1 2, d 2.351, intensity 27; hkl 2 2 1, d 2.178, intensity 100; hkl 1 3 2, d 1.949, intensity 14; hkl 0 4 2, d 1.821, intensity 22; hkl 2 6 1, d 1.360, intensity 25; hkl 1 1 4, d 1.300, intensity 8; hkl 4 2 1, d 1.273, intensity 9; hkl 4 4 0, d 1.191, intensity 13

Crystal structure
```
data_BePd4
_symmetry_space_group_name_H-M 'C c c e'
_symmetry_Int_Tables_number 68
_cell_length_a 5.436
_cell_length_b 9.855
_cell_length_c 5.407
_cell_angle_alpha 90.00
_cell_angle_beta 90.00
_cell_angle_gamma 90.00
loop_
_symmetry_equiv_pos_as_xyz
'x,y,z'
'-x,-y,-z'
'-x+1/2,-y,z'
'x+1/2,y,-z'
'x+1/2,-y,-z+1/2'
'-x+1/2,y,z+1/2'
'-x,y,-z+1/2'
'x,-y,z+1/2'
'x+1/2,y+1/2,z'
'-x+1/2,-y+1/2,-z'
'-x,-y+1/2,z'
'x,y+1/2,-z'
'x,-y+1/2,-z+1/2'
'-x,y+1/2,z+1/2'
'-x+1/2,y+1/2,-z+1/2'
'x+1/2,-y+1/2,z+1/2'
loop_
_atom_site_label
_atom_site_type_symbol
_atom_site_fract_x
_atom_site_fract_y
_atom_site_fract_z
_atom_site_occupancy
Be1 Be 0.000 0.250 0.250 1
Pd1 Pd 0.155 0.124 0.559 1
```

# 6
# Pr3Tm2UN6
Computed X-ray powder pattern, λ = 1.5418 Å (Cu Kα). Input: a GGA-PBE-relaxed structure.
Neutral-atom scattering factors, no anomalous dispersion.

Principal peaks in the range 2θ from 15° to 90°, in order of rising 2θ:
hkl 0 0 2, d 2.937, intensity 36; hkl 2 0 0, d 2.868, intensity 100; hkl 1 3 1, d 2.498, intensity 95; hkl 2 0 2, d 1.782, intensity 33; hkl 0 6 0, d 1.751, intensity 32; hkl 1 3 3, d 1.524, intensity 16; hkl 3 3 1, d 1.504, intensity 31; hkl 2 6 0, d 1.495, intensity 15; hkl 4 0 0, d 1.434, intensity 16; hkl 4 0 -4, d 1.249, intensity 10; hkl 3 3 3, d 1.125, intensity 15; hkl 5 3 -3, d 1.110, intensity 10

Crystal structure
```
data_Pr3Tm2UN6
_symmetry_space_group_name_H-M 'C 1 2/m 1'
_symmetry_Int_Tables_number 12
_symmetry_space_group_name_Hall '-C 2y'
_cell_length_a 6.072
_cell_length_b 10.501
_cell_length_c 6.211
_cell_angle_alpha 90.00
_cell_angle_beta 108.98
_cell_angle_gamma 90.00
loop_
_atom_site_label
_atom_site_type_symbol
_atom_site_fract_x
_atom_site_fract_y
_atom_site_fract_z
_atom_site_occupancy
Pr1 Pr 0.000 0.000 0.000 1
Pr2 Pr 0.000 0.331 0.000 1
Tm1 Tm 0.000 0.166 0.500 1
U1 U 0.000 0.500 0.500 1
N1 N 0.228 0.343 0.714 1
N2 N 0.243 0.500 0.284 1
```